# CaMg14Si
Computed powder X-ray diffraction pattern, CuKα. Input: a structure optimized by DFT (PBE).

The 12 most intense peaks (10° ≤ 2θ ≤ 90°), in order of rising 2θ:
d_spacing, Position (°2θ), I (rel.), hkl
2.770, 32.3, 24.1, 2 0 0
2.629, 34.1, 26.7, 0 0 4
2.450, 36.7, 100.0, 2 0 2
1.907, 47.7, 15.0, 2 0 4
1.599, 57.6, 16.9, 2 2 0
1.481, 62.7, 18.1, 2 0 6
1.385, 67.7, 2.5, 4 0 0
1.366, 68.7, 18.7, 2 2 4
1.339, 70.3, 13.3, 4 0 2
1.314, 71.8, 2.5, 0 0 8
1.225, 78.0, 3.2, 4 0 4
1.187, 81.0, 2.7, 2 0 8

Structural model:
```
data_CaMg14Si
_cell_length_a 6.3961
_cell_length_b 6.3961
_cell_length_c 10.5153
_cell_angle_alpha 90.00
_cell_angle_beta 90.00
_cell_angle_gamma 120.00
_space_group_name_H-M_alt 'P -6 m 2'
_space_group_IT_number 187
_space_group_name_Hall 'P -6 2'
loop_
_atom_site_label
_atom_site_fract_x
_atom_site_fract_y
_atom_site_fract_z
Ca1 0.0000 0.0000 0.0000
Mg1 0.0079 0.5039 0.0000
Mg2 0.1656 0.3311 0.2607
Mg3 0.5026 0.0052 0.5000
Mg4 0.6667 0.3333 0.2424
Si1 0.0000 0.0000 0.5000
```

---

# GdCuO3
Computed powder X-ray diffraction pattern, CuKα. Input: a structure optimized by DFT (PBE).

The 11 most intense peaks (10° ≤ 2θ ≤ 90°), in order of rising 2θ:
d_spacing, Position (°2θ), I (rel.), hkl
3.799, 23.4, 12.7, 1 0 0
2.686, 33.4, 100.0, 1 1 0
2.193, 41.2, 15.5, 1 1 1
1.899, 47.9, 30.2, 2 0 0
1.699, 54.0, 6.5, 2 1 0
1.551, 59.6, 37.9, 2 1 1
1.343, 70.1, 17.7, 2 2 0
1.266, 75.0, 3.5, 3 0 0
1.201, 79.8, 16.3, 3 1 0
1.145, 84.6, 5.2, 3 1 1
1.097, 89.3, 6.2, 2 2 2

Structural model:
```
data_GdCuO3
_cell_length_a 3.799
_cell_length_b 3.799
_cell_length_c 3.799
_cell_angle_alpha 90.00
_cell_angle_beta 90.00
_cell_angle_gamma 90.00
_space_group_name_H-M_alt 'P m -3 m'
_space_group_IT_number 221
_space_group_name_Hall '-P 4 2 3'
loop_
_atom_site_label
_atom_site_fract_x
_atom_site_fract_y
_atom_site_fract_z
Gd1 0.000 0.000 0.000
Cu1 0.500 0.500 0.500
O1 0.000 0.500 0.500
```

---

# ZnH2O2
Computed powder X-ray diffraction pattern, CuKα. Input: a structure optimized by DFT (PBE).

The 12 most intense peaks (10° ≤ 2θ ≤ 90°), in order of rising 2θ:
d_spacing, Position (°2θ), I (rel.), hkl
7.694, 11.5, 30.1, 0 1 0
5.658, 15.7, 29.0, 0 1 1
4.074, 21.8, 28.4, 0 2 -1
3.936, 22.6, 90.5, 0 0 3
3.847, 23.1, 84.2, 0 2 -2
3.351, 26.6, 100.0, 0 2 1
3.316, 26.9, 65.9, 1 0 -1
3.095, 28.8, 59.8, 1 -1 0
2.387, 37.7, 26.8, 1 0 3
2.274, 39.6, 37.9, 1 2 1
2.263, 39.8, 39.6, -1 2 2
1.647, 55.8, 26.0, 1 2 -7

Structural model:
```
data_ZnH2O2
_cell_length_a 3.349
_cell_length_b 8.138
_cell_length_c 12.589
_cell_angle_alpha 108.84
_cell_angle_beta 97.22
_cell_angle_gamma 90.10
_space_group_name_H-M_alt 'P 1'
_space_group_IT_number 1
loop_
_space_group_symop_operation_xyz
'x,y,z'
loop_
_atom_site_label
_atom_site_fract_x
_atom_site_fract_y
_atom_site_fract_z
Zn1 0.000 0.000 0.000
Zn2 0.001 0.537 0.006
Zn3 0.172 0.170 0.359
Zn4 0.175 0.725 0.355
Zn5 0.309 0.085 0.617
Zn6 0.868 0.649 0.744
H1 0.058 0.878 0.216
H2 0.256 0.356 0.565
H3 0.291 0.663 0.601
H4 0.517 0.334 0.053
H5 0.554 0.464 0.829
H6 0.566 0.165 0.149
H7 0.605 0.548 0.222
H8 0.645 0.368 0.309
H9 0.666 0.806 0.074
H10 0.867 0.974 0.795
H11 0.869 0.240 0.760
H12 0.906 0.816 0.532
O1 0.091 0.918 0.299
O2 0.190 0.826 0.525
O3 0.204 0.230 0.523
O4 0.318 0.589 0.651
O5 0.519 0.460 0.058
O6 0.524 0.130 0.064
O7 0.638 0.241 0.295
O8 0.644 0.584 0.305
O9 0.845 0.482 0.835
O10 0.846 0.116 0.712
O11 0.863 0.891 0.839
O12 0.945 0.795 0.060
```

---

# Mg6TiAlO8
Computed powder X-ray diffraction pattern, CuKα. Input: a structure optimized by DFT (PBE).

The 12 most intense peaks (10° ≤ 2θ ≤ 90°), in order of rising 2θ:
d_spacing, Position (°2θ), I (rel.), hkl
8.616, 10.3, 4.3, 0 0 1
4.311, 20.6, 2.6, 0 0 2
3.857, 23.1, 1.7, 1 0 1
3.049, 29.3, 2.0, 1 1 0
2.874, 31.1, 2.0, 0 0 3
2.489, 36.1, 15.2, 1 1 2
2.390, 37.6, 1.1, 1 0 3
2.156, 41.9, 100.0, 2 0 0
1.928, 47.1, 0.9, 2 0 2
1.524, 60.8, 56.5, 2 2 0
1.300, 72.7, 9.2, 1 1 6
1.245, 76.5, 17.1, 2 2 4

Structural model:
```
data_Mg6TiAlO8
_cell_length_a 4.313
_cell_length_b 4.313
_cell_length_c 8.616
_cell_angle_alpha 90.00
_cell_angle_beta 90.00
_cell_angle_gamma 90.00
_space_group_name_H-M_alt 'P 4/m m m'
_space_group_IT_number 123
_space_group_name_Hall '-P 4 2'
loop_
_atom_site_label
_atom_site_fract_x
_atom_site_fract_y
_atom_site_fract_z
Mg1 0.000 0.000 0.000
Mg2 0.000 0.500 0.248
Mg3 0.500 0.500 0.000
Ti1 0.000 0.000 0.500
Al1 0.500 0.500 0.500
O1 0.000 0.000 0.242
O2 0.000 0.500 0.000
O3 0.000 0.500 0.500
O4 0.500 0.500 0.254
```

---

# Tl2CoS2
Computed powder X-ray diffraction pattern, CuKα. Input: a structure optimized by DFT (PBE).

The 12 most intense peaks (10° ≤ 2θ ≤ 90°), in order of rising 2θ:
d_spacing, Position (°2θ), I (rel.), hkl
4.398, 20.2, 56.2, 1 1 0
4.134, 21.5, 58.7, 0 0 2
3.110, 28.7, 98.8, 2 0 0
3.012, 29.7, 100.0, 1 1 2
2.485, 36.1, 62.2, 2 0 2
2.199, 41.0, 37.4, 2 2 0
1.941, 46.8, 30.2, 2 2 2
1.776, 51.5, 45.3, 3 1 2
1.721, 53.2, 34.9, 2 0 4
1.506, 61.6, 22.4, 2 2 4
1.318, 71.6, 17.5, 4 2 2
1.154, 83.8, 19.1, 4 2 4

Structural model:
```
data_Tl2CoS2
_cell_length_a 6.220
_cell_length_b 6.220
_cell_length_c 8.268
_cell_angle_alpha 90.00
_cell_angle_beta 90.00
_cell_angle_gamma 90.00
_space_group_name_H-M_alt 'I 4/m m m'
_space_group_IT_number 139
_space_group_name_Hall '-I 4 2'
loop_
_atom_site_label
_atom_site_fract_x
_atom_site_fract_y
_atom_site_fract_z
Tl1 0.000 0.500 0.250
Co1 0.000 0.000 0.000
S1 0.000 0.000 0.255
```

---

# YMg6CdO8
Computed powder X-ray diffraction pattern, CuKα. Input: a structure optimized by DFT (PBE).

The 12 most intense peaks (10° ≤ 2θ ≤ 90°), in order of rising 2θ:
d_spacing, Position (°2θ), I (rel.), hkl
4.524, 19.6, 23.8, 0 0 2
3.195, 27.9, 19.0, 1 1 0
3.014, 29.6, 48.4, 0 0 3
2.610, 34.4, 44.1, 1 1 2
2.260, 39.9, 100.0, 2 0 0
2.193, 41.2, 18.9, 1 1 3
2.021, 44.8, 10.7, 2 0 2
1.808, 50.5, 13.1, 2 0 3
1.598, 57.7, 58.6, 2 2 0
1.412, 66.2, 12.3, 2 2 3
1.363, 68.9, 20.1, 3 1 2
1.305, 72.4, 17.7, 2 2 4

Structural model:
```
data_YMg6CdO8
_cell_length_a 4.518
_cell_length_b 4.518
_cell_length_c 9.049
_cell_angle_alpha 90.00
_cell_angle_beta 90.00
_cell_angle_gamma 90.00
_space_group_name_H-M_alt 'P 4/m m m'
_space_group_IT_number 123
_space_group_name_Hall '-P 4 2'
loop_
_atom_site_label
_atom_site_fract_x
_atom_site_fract_y
_atom_site_fract_z
Y1 0.000 0.000 0.000
Mg1 0.000 0.000 0.500
Mg2 0.000 0.500 0.271
Mg3 0.500 0.500 0.500
Cd1 0.500 0.500 0.000
O1 0.000 0.000 0.259
O2 0.000 0.500 0.000
O3 0.000 0.500 0.500
O4 0.500 0.500 0.276
```

---

# NbNiTe5
Computed powder X-ray diffraction pattern, CuKα. Input: a structure optimized by DFT (PBE).

The 12 most intense peaks (10° ≤ 2θ ≤ 90°), in order of rising 2θ:
d_spacing, Position (°2θ), I (rel.), hkl
6.879, 12.9, 100.0, 0 2 0
2.928, 30.5, 72.2, 1 1 3
2.833, 31.6, 70.7, 1 3 1
2.791, 32.1, 89.9, 0 2 5
2.697, 33.2, 75.3, 1 3 2
2.555, 35.1, 30.9, 0 4 4
2.509, 35.8, 48.6, 1 3 3
2.123, 42.6, 27.7, 1 5 2
2.074, 43.6, 54.0, 1 1 6
1.966, 46.2, 34.0, 0 6 4
1.854, 49.1, 31.3, 2 0 0
1.544, 59.9, 29.5, 2 2 5

Structural model:
```
data_NbNiTe5
_cell_length_a 3.708
_cell_length_b 13.758
_cell_length_c 15.270
_cell_angle_alpha 90.00
_cell_angle_beta 90.00
_cell_angle_gamma 90.00
_space_group_name_H-M_alt 'C m c m'
_space_group_IT_number 63
_space_group_name_Hall '-C 2c 2'
loop_
_atom_site_label
_atom_site_fract_x
_atom_site_fract_y
_atom_site_fract_z
Nb1 0.000 0.009 0.250
Ni1 0.000 0.500 0.000
Te1 0.000 0.100 0.076
Te2 0.000 0.333 0.750
Te3 0.000 0.401 0.145
```